(1)
Ca2GePd3: computed powder XRD pattern (a wavelength of 1.5418 Å), based on DFT lattice parameters and positions (GGA-PBE).
Intensities are scaled so that the largest is 100.

Largest 10 diffraction maxima, in order of rising 2θ, 2θ = 10–80°:
- 19.45 deg, d = 4.563 Å, rel. 61
- 21.36 deg, d = 4.160 Å, rel. 36
- 37.38 deg, d = 2.405 Å, rel. 70
- 38.47 deg, d = 2.340 Å, rel. 84
- 39.50 deg, d = 2.282 Å, rel. 100
- 40.56 deg, d = 2.224 Å, rel. 32
- 43.51 deg, d = 2.080 Å, rel. 27
- 47.15 deg, d = 1.928 Å, rel. 39
- 66.01 deg, d = 1.415 Å, rel. 31
- 71.72 deg, d = 1.316 Å, rel. 24

Cell: 5.290 5.290 5.290 Å, 64.70 64.70 64.70°
Sites, in units of the cell vectors:
Ca (0.129, 0.129, 0.129)
Ca (0.871, 0.871, 0.871)
Ge (0.500, 0.500, 0.500)
Pd (0.000, 0.500, 0.500)
Pd (0.500, 0.000, 0.500)
Pd (0.500, 0.500, 0.000)

***

(2)
HoNbRu2: computed powder XRD pattern (a wavelength of 1.5418 Å), based on DFT lattice parameters and positions (GGA-PBE).
Intensities are scaled so that the largest is 100.

Largest 9 diffraction maxima, in order of rising 2θ, 2θ = 10–80°:
- 23.54 deg, d = 3.779 Å, rel. 5
- 27.25 deg, d = 3.273 Å, rel. 2
- 38.92 deg, d = 2.314 Å, rel. 100
- 45.99 deg, d = 1.974 Å, rel. 3
- 56.21 deg, d = 1.636 Å, rel. 17
- 61.78 deg, d = 1.502 Å, rel. 1
- 63.57 deg, d = 1.464 Å, rel. 1
- 70.48 deg, d = 1.336 Å, rel. 34
- 75.47 deg, d = 1.260 Å, rel. 1

Cell: 4.629 4.629 4.629 Å, 60.00 60.00 60.00°
Sites, in units of the cell vectors:
Ho (0.000, 0.000, 0.000)
Nb (0.500, 0.500, 0.500)
Ru (0.250, 0.250, 0.250)
Ru (0.750, 0.750, 0.750)

***

(3)
NaAgI2O3: computed powder XRD pattern (a wavelength of 1.5418 Å), based on DFT lattice parameters and positions (GGA-PBE).
Intensities are scaled so that the largest is 100.

Largest 10 diffraction maxima, in order of rising 2θ, 2θ = 10–80°:
- 23.46 deg, d = 3.791 Å, rel. 78
- 23.90 deg, d = 3.723 Å, rel. 98
- 26.34 deg, d = 3.384 Å, rel. 100
- 30.10 deg, d = 2.969 Å, rel. 78
- 30.30 deg, d = 2.950 Å, rel. 93
- 37.75 deg, d = 2.383 Å, rel. 72
- 41.13 deg, d = 2.194 Å, rel. 59
- 42.45 deg, d = 2.129 Å, rel. 45
- 45.59 deg, d = 1.990 Å, rel. 89
- 54.79 deg, d = 1.676 Å, rel. 58

Cell: 7.572 20.534 9.711 Å, 90.00 90.00 90.00°
Sites, in units of the cell vectors:
Na (0.163, 0.111, 0.179)
Na (0.163, 0.389, 0.679)
Na (0.337, 0.611, 0.179)
Na (0.337, 0.889, 0.679)
Na (0.663, 0.111, 0.321)
Na (0.663, 0.389, 0.821)
Na (0.837, 0.611, 0.321)
Na (0.837, 0.889, 0.821)
Ag (0.026, 0.743, 0.867)
Ag (0.026, 0.757, 0.367)
Ag (0.474, 0.243, 0.867)
Ag (0.474, 0.257, 0.367)
Ag (0.526, 0.743, 0.633)
Ag (0.526, 0.757, 0.133)
Ag (0.974, 0.243, 0.633)
Ag (0.974, 0.257, 0.133)
I (0.105, 0.121, 0.508)
I (0.105, 0.379, 0.008)
I (0.116, 0.199, 0.891)
I (0.116, 0.301, 0.391)
I (0.384, 0.699, 0.891)
I (0.384, 0.801, 0.391)
I (0.395, 0.621, 0.508)
I (0.395, 0.879, 0.008)
I (0.605, 0.121, 0.992)
I (0.605, 0.379, 0.492)
I (0.616, 0.199, 0.609)
I (0.616, 0.301, 0.109)
I (0.884, 0.699, 0.609)
I (0.884, 0.801, 0.109)
I (0.895, 0.621, 0.992)
I (0.895, 0.879, 0.492)
O (0.071, 0.012, 0.819)
O (0.071, 0.488, 0.319)
O (0.109, 0.661, 0.297)
O (0.109, 0.839, 0.797)
O (0.136, 0.041, 0.918)
O (0.136, 0.459, 0.418)
O (0.364, 0.541, 0.918)
O (0.364, 0.959, 0.418)
O (0.391, 0.161, 0.297)
O (0.391, 0.339, 0.797)
O (0.429, 0.512, 0.819)
O (0.429, 0.988, 0.319)
O (0.571, 0.012, 0.681)
O (0.571, 0.488, 0.181)
O (0.609, 0.661, 0.203)
O (0.609, 0.839, 0.703)
O (0.636, 0.041, 0.582)
O (0.636, 0.459, 0.082)
O (0.864, 0.541, 0.582)
O (0.864, 0.959, 0.082)
O (0.891, 0.161, 0.203)
O (0.891, 0.339, 0.703)
O (0.929, 0.512, 0.681)
O (0.929, 0.988, 0.181)

***

(4)
LaCe3B24: computed powder XRD pattern (a wavelength of 1.5418 Å), based on DFT lattice parameters and positions (GGA-PBE).
Intensities are scaled so that the largest is 100.

Largest 10 diffraction maxima, in order of rising 2θ, 2θ = 10–80°:
- 21.55 deg, d = 4.123 Å, rel. 64
- 30.67 deg, d = 2.915 Å, rel. 100
- 37.79 deg, d = 2.380 Å, rel. 42
- 43.92 deg, d = 2.061 Å, rel. 22
- 49.43 deg, d = 1.844 Å, rel. 49
- 54.52 deg, d = 1.683 Å, rel. 27
- 63.86 deg, d = 1.458 Å, rel. 10
- 68.25 deg, d = 1.374 Å, rel. 28
- 72.50 deg, d = 1.304 Å, rel. 20
- 76.66 deg, d = 1.243 Å, rel. 13

Cell: 4.122 4.122 16.497 Å, 90.00 90.00 90.00°
Sites, in units of the cell vectors:
La (0.000, 0.000, 0.000)
Ce (0.000, 0.000, 0.251)
Ce (0.000, 0.000, 0.500)
Ce (0.000, 0.000, 0.749)
B (0.199, 0.500, 0.125)
B (0.199, 0.500, 0.375)
B (0.199, 0.500, 0.625)
B (0.199, 0.500, 0.875)
B (0.500, 0.199, 0.125)
B (0.500, 0.199, 0.375)
B (0.500, 0.199, 0.625)
B (0.500, 0.199, 0.875)
B (0.500, 0.500, 0.050)
B (0.500, 0.500, 0.200)
B (0.500, 0.500, 0.300)
B (0.500, 0.500, 0.450)
B (0.500, 0.500, 0.550)
B (0.500, 0.500, 0.700)
B (0.500, 0.500, 0.800)
B (0.500, 0.500, 0.950)
B (0.500, 0.801, 0.125)
B (0.500, 0.801, 0.375)
B (0.500, 0.801, 0.625)
B (0.500, 0.801, 0.875)
B (0.801, 0.500, 0.125)
B (0.801, 0.500, 0.375)
B (0.801, 0.500, 0.625)
B (0.801, 0.500, 0.875)